For SrNdCoN2, a cell relaxed with PBE gives the theoretical powder diffractogram in this record (a wavelength of 1.5418 Å).
Neutral-atom scattering factors, no anomalous dispersion.

Structural model:
Lattice parameters (Å, degrees): 5.5311 5.1941 6.9560 90.00 90.06 90.00
Fractional coordinates of all 10 atoms:
Sr (0.0000, 0.0005, 0.2500)
Sr (0.0000, 0.9995, 0.7500)
Nd (0.5000, 0.5002, 0.2500)
Nd (0.5000, 0.4998, 0.7500)
Co (0.5000, 0.0000, 0.0000)
Co (0.5000, 0.0000, 0.5000)
N (0.2817, 0.2571, 0.0000)
N (0.2817, 0.7429, 0.5000)
N (0.7183, 0.2571, 0.5000)
N (0.7183, 0.7429, 0.0000)

Largest 10 diffraction maxima, in order of rising 2θ, 10 to 90 degrees two-theta:
2θ = 16.02°, d 5.531, rel. 31, hkl 1 0 0
2θ = 23.50°, d 3.786, rel. 46, hkl 1 1 0
2θ = 32.37°, d 2.766, rel. 26, hkl 2 0 0
2θ = 34.54°, d 2.597, rel. 21, hkl 0 2 0
2θ = 35.03°, d 2.561, rel. 100, hkl 1 1 2
2θ = 41.73°, d 2.165, rel. 13, hkl 2 0 2
2θ = 48.06°, d 1.893, rel. 23, hkl 2 2 0
2θ = 52.65°, d 1.738, rel. 14, hkl 0 0 4
2θ = 59.47°, d 1.554, rel. 21, hkl 3 1 2
2θ = 62.20°, d 1.492, rel. 18, hkl 1 3 2